Diffraction record for LiCo3SbP6O24. The PXRD pattern is calculated, not measured: it uses a PBE+U-relaxed structure and a wavelength of 1.5418 Å.
Intensities are scaled so that the largest is 100.

Peak list (10 most intense, 10° ≤ 2θ ≤ 90°, by angle)
Position (°2θ)	d [Å]	I (rel.)	index
14.86	5.960	87.8	0 1 1
20.51	4.330	49.1	0 1 -1
20.66	4.300	95.2	1 0 -1
21.54	4.126	83.7	2 1 1
24.77	3.594	45.2	1 2 0
24.92	3.573	84.2	2 1 2
29.98	2.980	100.0	2 0 2
32.88	2.724	28.5	1 -1 2
33.08	2.708	56.2	1 2 3
37.31	2.410	25.9	2 3 3

Cell: 8.232 8.257 8.613 Å, 61.84 61.53 60.16°
Space group P1 (No. 1)
Symmetry-distinct sites (fractional):
Li (0.000, 0.000, 0.000) (multiplicity 1)
Co (0.153, 0.107, 0.592) (multiplicity 1)
Co (0.363, 0.325, 0.954) (multiplicity 1)
Co (0.868, 0.826, 0.447) (multiplicity 1)
Sb (0.656, 0.610, 0.086) (multiplicity 1)
P (0.047, 0.429, 0.765) (multiplicity 1)
P (0.248, 0.939, 0.274) (multiplicity 1)
P (0.470, 0.724, 0.765) (multiplicity 1)
P (0.547, 0.206, 0.270) (multiplicity 1)
P (0.767, 0.000, 0.767) (multiplicity 1)
P (0.985, 0.499, 0.275) (multiplicity 1)
O (0.004, 0.343, 0.462) (multiplicity 1)
O (0.016, 0.586, 0.584) (multiplicity 1)
O (0.112, 0.857, 0.278) (multiplicity 1)
O (0.124, 0.217, 0.758) (multiplicity 1)
O (0.178, 0.495, 0.113) (multiplicity 1)
O (0.189, 0.953, 0.468) (multiplicity 1)
O (0.194, 0.451, 0.807) (multiplicity 1)
O (0.225, 0.135, 0.120) (multiplicity 1)
O (0.258, 0.867, 0.763) (multiplicity 1)
O (0.396, 0.145, 0.455) (multiplicity 1)
O (0.464, 0.786, 0.242) (multiplicity 1)
O (0.480, 0.746, 0.932) (multiplicity 1)
O (0.503, 0.515, 0.790) (multiplicity 1)
O (0.519, 0.418, 0.248) (multiplicity 1)
O (0.534, 0.197, 0.102) (multiplicity 1)
O (0.553, 0.138, 0.808) (multiplicity 1)
O (0.625, 0.788, 0.580) (multiplicity 1)
O (0.762, 0.068, 0.270) (multiplicity 1)
O (0.801, 0.796, 0.923) (multiplicity 1)
O (0.823, 0.979, 0.576) (multiplicity 1)
O (0.829, 0.473, 0.243) (multiplicity 1)
O (0.847, 0.433, 0.930) (multiplicity 1)
O (0.898, 0.711, 0.286) (multiplicity 1)
O (0.905, 0.079, 0.764) (multiplicity 1)